Record 1
# ZnTc3N
Simulated X-ray diffraction stick pattern, CuKα. Input: the GGA-PBE geometry in Alexandria.
Neutral-atom scattering factors, no anomalous dispersion.

Lattice parameters (Å, degrees): 5.365 5.365 4.675 99.87 99.87 88.26
Positions (direct):
Zn (0.076, 0.924, 0.500)
Zn (0.924, 0.076, 0.000)
Tc (0.155, 0.416, 0.446)
Tc (0.221, 0.637, 0.005)
Tc (0.416, 0.155, 0.946)
Tc (0.565, 0.720, 0.577)
Tc (0.637, 0.221, 0.505)
Tc (0.720, 0.565, 0.077)
N (0.508, 0.876, 0.194)
N (0.876, 0.508, 0.694)

Most intense lines, 10 to 90 degrees two-theta, in order of rising 2θ:
| 2θ (°) | I_rel |
| --- | --- |
| 33.9 | 35 |
| 36.3 | 44 |
| 38.1 | 100 |
| 38.7 | 53 |
| 39.7 | 70 |
| 41.3 | 26 |
| 41.7 | 96 |
| 42.4 | 84 |
| 47.2 | 32 |
| 71.4 | 27 |

---

Record 2
# CaDyMg4
Simulated X-ray diffraction stick pattern, CuKα. Input: the GGA-PBE geometry in Alexandria.
Neutral-atom scattering factors, no anomalous dispersion.

Lattice parameters (Å, degrees): 6.112 6.112 6.112 60.00 60.00 60.00
Positions (direct):
Ca (0.000, 0.000, 0.000)
Dy (0.750, 0.750, 0.750)
Mg (0.376, 0.376, 0.376)
Mg (0.376, 0.376, 0.873)
Mg (0.376, 0.873, 0.376)
Mg (0.873, 0.376, 0.376)

Most intense lines, 10 to 90 degrees two-theta, in order of rising 2θ:
| 2θ (°) | I_rel |
| --- | --- |
| 17.8 | 57 |
| 20.5 | 27 |
| 29.2 | 71 |
| 34.4 | 100 |
| 36.0 | 16 |
| 45.8 | 15 |
| 51.8 | 28 |
| 55.2 | 34 |
| 60.6 | 19 |
| 86.5 | 21 |